For K3Br2N2, a structure optimized by DFT (PBE) gives the calculated powder diffraction line list in this record (Cu Kα (λ = 1.5418 Å)).
Peak positions follow from Bragg's law for the DFT cell and can differ from measured ones.

Most intense lines, 10° ≤ 2θ ≤ 90°, sorted by position:
- 20.45 deg, I = 22, hkl 1 0 1
- 25.92 deg, I = 100, hkl 1 1 0
- 27.67 deg, I = 21, hkl 1 1 2
- 28.77 deg, I = 49, hkl 0 0 6
- 32.38 deg, I = 19, hkl 1 1 4
- 33.28 deg, I = 35, hkl 0 2 0
- 39.11 deg, I = 59, hkl 1 1 6
- 44.56 deg, I = 27, hkl 0 2 6

Structural model:
```
data_K3Br2N2
_chemical_formula_sum 'K6 Br4 N4'
_symmetry_space_group_name_H-M 'I m m m'
_symmetry_Int_Tables_number 71
_symmetry_space_group_name_Hall '-I 2 2'
_cell_length_a 4.4653
_cell_length_b 5.3845
_cell_length_c 18.6188
_cell_angle_alpha 90.00
_cell_angle_beta 90.00
_cell_angle_gamma 90.00
loop_
_atom_site_label
_atom_site_type_symbol
_atom_site_fract_x
_atom_site_fract_y
_atom_site_fract_z
K1 K 0.0000 0.0000 0.0000
K2 K 0.0000 0.0000 0.3464
Br1 Br 0.0000 0.0000 0.1694
N1 N 0.1328 0.5000 0.0000
```

For Ba8H, a structure optimized by DFT (PBE) gives the calculated powder diffraction line list in this record (Cu Kα (λ = 1.5418 Å)).
Peak positions follow from Bragg's law for the DFT cell and can differ from measured ones.

Most intense lines, 10° ≤ 2θ ≤ 90°, sorted by position:
- 23.16 deg, I = 23, hkl 2 0 0
- 24.73 deg, I = 26, hkl 0 0 2
- 26.30 deg, I = 100, hkl 0 2 1
- 34.14 deg, I = 17, hkl 2 0 2
- 40.69 deg, I = 20, hkl 2 2 0
- 44.52 deg, I = 24, hkl 0 2 3
- 48.20 deg, I = 25, hkl 2 2 2
- 49.10 deg, I = 17, hkl 4 0 1

Structural model:
```
data_Ba8H
_chemical_formula_sum 'Ba8 H1'
_symmetry_space_group_name_H-M 'P -3 m 1'
_symmetry_Int_Tables_number 164
_symmetry_space_group_name_Hall '-P 3 2"'
_cell_length_a 8.8700
_cell_length_b 8.8700
_cell_length_c 7.1989
_cell_angle_alpha 90.00
_cell_angle_beta 90.00
_cell_angle_gamma 120.00
loop_
_atom_site_label
_atom_site_type_symbol
_atom_site_fract_x
_atom_site_fract_y
_atom_site_fract_z
Ba1 Ba 0.1614 0.3228 0.2568
Ba2 Ba 0.3333 0.6667 0.7546
H1 H 0.0000 0.0000 0.5000
```

For Tb4NdAs5, a structure optimized by DFT (PBE) gives the calculated powder diffraction line list in this record (Cu Kα (λ = 1.5418 Å)).
Peak positions follow from Bragg's law for the DFT cell and can differ from measured ones.

Most intense lines, 10° ≤ 2θ ≤ 90°, sorted by position:
- 26.20 deg, I = 21, hkl 0 1 5
- 30.34 deg, I = 100, hkl 1 0 5
- 43.44 deg, I = 75, hkl 2 0 0
- 51.44 deg, I = 10, hkl 1 1 10
- 53.91 deg, I = 26, hkl 2 2 0
- 63.12 deg, I = 12, hkl 0 4 0
- 71.63 deg, I = 34, hkl 3 0 5
- 79.73 deg, I = 25, hkl 3 2 5

Structural model:
```
data_Tb4NdAs5
_chemical_formula_sum 'Tb8 Nd2 As10'
_symmetry_space_group_name_H-M 'I m m m'
_symmetry_Int_Tables_number 71
_symmetry_space_group_name_Hall '-I 2 2'
_cell_length_a 4.1677
_cell_length_b 5.8917
_cell_length_c 20.8248
_cell_angle_alpha 90.00
_cell_angle_beta 90.00
_cell_angle_gamma 90.00
loop_
_atom_site_label
_atom_site_type_symbol
_atom_site_fract_x
_atom_site_fract_y
_atom_site_fract_z
Tb1 Tb 0.0000 0.0000 0.1006
Tb2 Tb 0.0000 0.0000 0.2987
Nd1 Nd 0.0000 0.0000 0.5000
As1 As 0.0000 0.5000 0.1030
As2 As 0.0000 0.5000 0.3003
As3 As 0.0000 0.5000 0.5000
```

For Sr2Cd5Ag4, a structure optimized by DFT (PBE) gives the calculated powder diffraction line list in this record (Cu Kα (λ = 1.5418 Å)).
Peak positions follow from Bragg's law for the DFT cell and can differ from measured ones.

Most intense lines, 10° ≤ 2θ ≤ 90°, sorted by position:
- 17.93 deg, I = 67, hkl 0 2 0
- 34.21 deg, I = 83, hkl 1 3 3
- 34.91 deg, I = 38, hkl 2 2 0
- 35.45 deg, I = 100, hkl 2 0 4
- 38.47 deg, I = 59, hkl 0 0 8
- 39.41 deg, I = 35, hkl 1 3 5
- 40.02 deg, I = 49, hkl 2 2 4
- 41.35 deg, I = 36, hkl 0 4 4

Structural model:
```
data_Sr2Cd5Ag4
_chemical_formula_sum 'Sr8 Cd20 Ag16'
_symmetry_space_group_name_H-M 'F m m m'
_symmetry_Int_Tables_number 69
_symmetry_space_group_name_Hall '-F 2 2'
_cell_length_a 6.0211
_cell_length_b 9.8735
_cell_length_c 18.7188
_cell_angle_alpha 90.00
_cell_angle_beta 90.00
_cell_angle_gamma 90.00
loop_
_atom_site_label
_atom_site_type_symbol
_atom_site_fract_x
_atom_site_fract_y
_atom_site_fract_z
Sr1 Sr 0.0000 0.0000 0.1319
Cd1 Cd 0.0000 0.0000 0.5000
Cd2 Cd 0.2500 0.2500 0.0000
Cd3 Cd 0.2500 0.2500 0.2500
Ag1 Ag 0.0000 0.1555 0.3702
```

For SeBr2, a structure optimized by DFT (PBE) gives the calculated powder diffraction line list in this record (Cu Kα (λ = 1.5418 Å)).
Peak positions follow from Bragg's law for the DFT cell and can differ from measured ones.

Most intense lines, 10° ≤ 2θ ≤ 90°, sorted by position:
- 10.65 deg, I = 38, hkl 2 0 0
- 16.65 deg, I = 39, hkl 2 0 -1
- 21.39 deg, I = 44, hkl 4 0 0
- 26.85 deg, I = 67, hkl 1 1 -1
- 27.74 deg, I = 50, hkl 3 1 0
- 31.99 deg, I = 100, hkl 3 1 1
- 33.67 deg, I = 55, hkl 4 0 -2
- 48.68 deg, I = 35, hkl 1 1 -3

Structural model:
```
data_SeBr2
_chemical_formula_sum 'Se4 Br8'
_symmetry_space_group_name_H-M 'C 1 2/m 1'
_symmetry_Int_Tables_number 12
_cell_length_a 16.7186
_cell_length_b 3.9503
_cell_length_c 6.3718
_cell_angle_alpha 90.00
_cell_angle_beta 96.24
_cell_angle_gamma 90.00
loop_
_symmetry_equiv_pos_as_xyz
'x,y,z'
'-x,-y,-z'
'-x,y,-z'
'x,-y,z'
'x+1/2,y+1/2,z'
'-x+1/2,-y+1/2,-z'
'-x+1/2,y+1/2,-z'
'x+1/2,-y+1/2,z'
loop_
_atom_site_label
_atom_site_type_symbol
_atom_site_fract_x
_atom_site_fract_y
_atom_site_fract_z
Se1 Se 0.1989 0.0000 0.4277
Br1 Br 0.0949 0.5000 0.2023
Br2 Br 0.1394 0.0000 0.7425
```

For Pr2MnMoN5, a structure optimized by DFT (PBE) gives the calculated powder diffraction line list in this record (Cu Kα (λ = 1.5418 Å)).
Peak positions follow from Bragg's law for the DFT cell and can differ from measured ones.

Most intense lines, 10° ≤ 2θ ≤ 90°, sorted by position:
- 29.51 deg, I = 100, hkl 0 2 3
- 31.01 deg, I = 57, hkl 0 4 2
- 32.69 deg, I = 38, hkl 1 1 2
- 32.79 deg, I = 56, hkl 1 3 0
- 34.01 deg, I = 45, hkl 1 3 1
- 38.47 deg, I = 97, hkl 1 1 3
- 39.43 deg, I = 38, hkl 0 6 1
- 45.75 deg, I = 44, hkl 1 5 2

Structural model:
```
data_Pr2MnMoN5
_chemical_formula_sum 'Pr8 Mn4 Mo4 N20'
_symmetry_space_group_name_H-M 'C m c 21'
_symmetry_Int_Tables_number 36
_cell_length_a 3.3587
_cell_length_b 14.0808
_cell_length_c 10.0585
_cell_angle_alpha 90.00
_cell_angle_beta 90.00
_cell_angle_gamma 90.00
loop_
_symmetry_equiv_pos_as_xyz
'x,y,z'
'-x,-y,z+1/2'
'-x,y,z'
'x,-y,z+1/2'
'x+1/2,y+1/2,z'
'-x+1/2,-y+1/2,z+1/2'
'-x+1/2,y+1/2,z'
'x+1/2,-y+1/2,z+1/2'
loop_
_atom_site_label
_atom_site_type_symbol
_atom_site_fract_x
_atom_site_fract_y
_atom_site_fract_z
Pr1 Pr 0.0000 0.1193 0.0000
Pr2 Pr 0.0000 0.1290 0.6221
Mn1 Mn 0.0000 0.4440 0.7550
Mo1 Mo 0.0000 0.2078 0.3284
N1 N 0.0000 0.0378 0.3243
N2 N 0.0000 0.3013 0.9558
N3 N 0.0000 0.3203 0.6864
N4 N 0.0000 0.3386 0.3137
N5 N 0.0000 0.4985 0.5950
```